Diffraction record for La2Ag3Pb. The X-ray diffraction stick pattern is computed, not measured: it uses the PBE geometry in Alexandria and a wavelength of 1.5418 Å.
Lines closer than 0.1° are merged.

Structure:
a b c (Å): 7.4591 9.8907 17.1884
angles (deg): 90.00 90.00 90.00
Space group Fmmm (No. 69)
Unique sites:
La: 0.2353 0.0000 0.0000
La: 0.2500 0.2500 0.2500
Ag: 0.0000 0.0000 0.1649
Ag: 0.0000 0.2456 0.0816
Pb: 0.0000 0.0000 0.3357

Most intense lines, 2θ = 10–80°, sorted by position:
Position (°2θ)	Rel. int.	h k l
31.79	100	2 0 4
36.27	79	0 4 0
43.88	10	2 4 0
48.88	20	4 0 0
49.02	20	2 4 4
62.34	41	4 4 0
62.55	9	2 6 2
65.31	10	0 6 6

Diffraction record for Be3TcB12. The X-ray diffraction stick pattern is computed, not measured: it uses the PBE geometry in Alexandria and a wavelength of 1.5418 Å.
Lines closer than 0.1° are merged.

Structure:
a b c (Å): 5.0324 5.0324 18.0019
angles (deg): 90.00 90.00 120.00
Space group R-3m (No. 166, hexagonal axes)
Unique sites:
Be: 0.0000 0.5000 0.0000
Tc: 0.0000 0.0000 0.0000
B: 0.0999 0.5499 0.2510
B: 0.1101 0.2203 0.8716

Most intense lines, 2θ = 10–80°, sorted by position:
Position (°2θ)	Rel. int.	h k l
14.76	49	0 0 3
20.97	100	1 0 1
22.67	100	0 1 2
32.25	35	0 1 5
38.81	37	1 1 3
40.74	31	1 0 7
45.35	23	0 0 9
46.29	30	0 2 4

Diffraction record for Ba2ReTc. The X-ray diffraction stick pattern is computed, not measured: it uses the PBE geometry in Alexandria and a wavelength of 1.5418 Å.
Lines closer than 0.1° are merged.

Structure:
a b c (Å): 7.3338 4.2294 9.6092
angles (deg): 90.00 102.90 90.00
Space group Cm (No. 8)
Unique sites:
Ba: 0.0000 0.0000 0.0000
Ba: 0.1555 0.0000 0.5283
Re: 0.4067 0.0000 0.2492
Tc: 0.2487 0.5000 0.2791

Most intense lines, 2θ = 10–80°, sorted by position:
Position (°2θ)	Rel. int.	h k l
27.27	45	1 1 1
27.81	27	2 0 -2
28.62	81	2 0 1
29.31	100	1 1 -2
32.83	36	1 1 2
38.44	33	0 0 4
42.75	84	0 2 0
52.28	36	2 2 1